Record 1
Structure and computed X-ray diffraction stick pattern of PrDy4Th5 (a cell relaxed with GGA-PBE; Cu Ka).
Kinematic intensities with the Lorentz-polarization factor, no thermal factor.

Lattice parameters (Å, degrees): 11.383 11.383 8.402 91.68 91.68 17.88
Positions (direct):
Pr1 0.000 0.000 0.000
Dy1 0.179 0.179 0.010
Dy2 0.406 0.406 0.261
Dy3 0.594 0.594 0.739
Dy4 0.821 0.821 0.990
Th1 0.000 0.000 0.500
Th2 0.263 0.263 0.336
Th3 0.385 0.385 0.671
Th4 0.615 0.615 0.329
Th5 0.737 0.737 0.664

Main lines, sorted by position (2θ = 15–90°):
d/Å, 2θ (°), Rel. int.
3.384, 26.33, 44
3.003, 29.75, 69
2.838, 31.53, 100
2.799, 31.97, 45
2.780, 32.19, 82
2.695, 33.25, 64
2.680, 33.43, 68
2.641, 33.94, 33
2.530, 35.49, 33
1.769, 51.66, 39

=====

Record 2
Structure and computed X-ray diffraction stick pattern of Pr4Dy3Th2 (a cell relaxed with GGA-PBE; Cu Ka).
Kinematic intensities with the Lorentz-polarization factor, no thermal factor.

Lattice parameters (Å, degrees): 3.601 3.601 27.282 90.00 90.00 120.00
Positions (direct):
Pr1 0.000 0.000 0.000
Pr2 0.000 0.000 0.215
Pr3 0.333 0.667 0.332
Pr4 0.333 0.667 0.549
Dy1 0.000 0.000 0.439
Dy2 0.333 0.667 0.107
Dy3 0.333 0.667 0.767
Th1 0.000 0.000 0.660
Th2 0.000 0.000 0.873

Main lines, sorted by position (2θ = 15–90°):
d/Å, 2θ (°), Rel. int.
3.118, 28.63, 53
3.032, 29.46, 59
2.836, 31.55, 69
2.707, 33.09, 100
2.572, 34.89, 16
2.174, 41.55, 36
1.800, 50.71, 40
1.653, 55.61, 31
1.548, 59.74, 46
1.499, 61.89, 17

=====

Repeat the second record exactly.
Structure and computed X-ray diffraction stick pattern of Pr4Dy3Th2 (a cell relaxed with GGA-PBE; Cu Ka).
Kinematic intensities with the Lorentz-polarization factor, no thermal factor.

Lattice parameters (Å, degrees): 3.601 3.601 27.282 90.00 90.00 120.00
Positions (direct):
Pr1 0.000 0.000 0.000
Pr2 0.000 0.000 0.215
Pr3 0.333 0.667 0.332
Pr4 0.333 0.667 0.549
Dy1 0.000 0.000 0.439
Dy2 0.333 0.667 0.107
Dy3 0.333 0.667 0.767
Th1 0.000 0.000 0.660
Th2 0.000 0.000 0.873

Main lines, sorted by position (2θ = 15–90°):
d/Å, 2θ (°), Rel. int.
3.118, 28.63, 53
3.032, 29.46, 59
2.836, 31.55, 69
2.707, 33.09, 100
2.572, 34.89, 16
2.174, 41.55, 36
1.800, 50.71, 40
1.653, 55.61, 31
1.548, 59.74, 46
1.499, 61.89, 17

=====

Which formula does entry 1 have? PrDy4Th5